1.
For Sr3Mg2H5O2, a crystal structure in Alexandria, relaxed with PBE gives the simulated powder X-ray diffraction pattern in this record (Cu Ka).
Neutral-atom scattering factors, no anomalous dispersion.

Atomic structure:
```
data_Sr3Mg2H5O2
_cell_length_a 3.866
_cell_length_b 3.866
_cell_length_c 21.407
_cell_angle_alpha 90.00
_cell_angle_beta 90.00
_cell_angle_gamma 90.00
_symmetry_space_group_name_H-M 'I 4/m m m'
_symmetry_Int_Tables_number 139
_symmetry_space_group_name_Hall '-I 4 2'
loop_
_atom_site_label
_atom_site_type_symbol
_atom_site_fract_x
_atom_site_fract_y
_atom_site_fract_z
Sr1 Sr 0.000 0.000 0.000
Sr2 Sr 0.000 0.000 0.191
Mg1 Mg 0.000 0.000 0.400
H1 H 0.000 0.000 0.500
H2 H 0.000 0.500 0.087
O1 O 0.000 0.000 0.306
```

Most intense lines, 10 to 80 degrees two-theta, most intense first:
h k l	d (Å)	I/Imax
1 0 5	2.869	100.0
1 1 0	2.733	69.9
2 1 5	1.603	35.9
1 1 10	1.685	26.1
2 0 0	1.933	25.8
1 0 1	3.804	25.3
1 1 6	2.170	18.9
0 0 6	3.568	16.5
2 0 10	1.435	15.4
0 0 10	2.141	14.8

***

2.
For MgTeH12O9, a crystal structure in Alexandria, relaxed with PBE gives the simulated powder X-ray diffraction pattern in this record (Cu Ka).
Neutral-atom scattering factors, no anomalous dispersion.

Atomic structure:
```
data_MgTeH12O9
_cell_length_a 5.541
_cell_length_b 7.828
_cell_length_c 8.120
_cell_angle_alpha 100.18
_cell_angle_beta 109.84
_cell_angle_gamma 110.32
_symmetry_space_group_name_H-M 'P 1'
_symmetry_Int_Tables_number 1
loop_
_symmetry_equiv_pos_as_xyz
'x,y,z'
loop_
_atom_site_label
_atom_site_type_symbol
_atom_site_fract_x
_atom_site_fract_y
_atom_site_fract_z
Mg1 Mg 0.000 0.000 0.000
Te1 Te 0.532 0.480 0.280
H1 H 0.036 0.948 0.692
H2 H 0.161 0.737 0.121
H3 H 0.170 0.494 0.531
H4 H 0.262 0.536 0.995
H5 H 0.285 0.214 0.842
H6 H 0.397 0.481 0.706
H7 H 0.436 0.957 0.845
H8 H 0.487 0.774 0.757
H9 H 0.626 0.025 0.545
H10 H 0.672 0.087 0.490
H11 H 0.839 0.668 0.071
H12 H 0.864 0.308 0.265
O1 O 0.010 0.787 0.099
O2 O 0.173 0.014 0.822
O3 O 0.205 0.250 0.195
O4 O 0.331 0.615 0.125
O5 O 0.375 0.369 0.878
O6 O 0.378 0.558 0.622
O7 O 0.587 0.909 0.851
O8 O 0.623 0.423 0.053
O9 O 0.838 0.377 0.366
```

Most intense lines, 10 to 80 degrees two-theta, most intense first:
h k l	d (Å)	I/Imax
1 -1 0	5.043	100.0
0 1 -1	6.112	98.0
0 0 1	7.199	96.9
0 1 0	6.920	85.4
1 0 -2	3.747	58.6
0 1 1	4.320	48.9
1 -2 1	3.281	33.7
0 2 0	3.460	30.9
1 0 0	4.680	29.1
-1 1 1	4.647	26.9

***

3.
For Mg2TeHO6, a crystal structure in Alexandria, relaxed with PBE gives the simulated powder X-ray diffraction pattern in this record (Cu Ka).
Neutral-atom scattering factors, no anomalous dispersion.

Atomic structure:
```
data_Mg2TeHO6
_cell_length_a 5.212
_cell_length_b 5.300
_cell_length_c 5.738
_cell_angle_alpha 90.87
_cell_angle_beta 116.33
_cell_angle_gamma 119.12
_symmetry_space_group_name_H-M 'P 1'
_symmetry_Int_Tables_number 1
loop_
_symmetry_equiv_pos_as_xyz
'x,y,z'
loop_
_atom_site_label
_atom_site_type_symbol
_atom_site_fract_x
_atom_site_fract_y
_atom_site_fract_z
Mg1 Mg 0.000 0.000 0.000
Mg2 Mg 0.057 0.535 0.573
Te1 Te 0.636 0.317 0.953
H1 H 0.673 0.740 0.243
O1 O 0.070 0.368 0.233
O2 O 0.202 0.267 0.785
O3 O 0.521 0.948 0.763
O4 O 0.554 0.160 0.236
O5 O 0.845 0.587 0.785
O6 O 0.852 0.729 0.235
```

Most intense lines, 10 to 80 degrees two-theta, most intense first:
h k l	d (Å)	I/Imax
1 0 -1	4.337	100.0
0 0 1	4.913	76.9
0 1 0	4.424	50.0
1 0 0	3.905	42.9
-1 2 1	2.329	42.8
2 -1 1	1.800	20.5
2 -1 0	2.315	20.2
0 1 1	2.891	18.8
1 -1 1	2.872	18.4
-1 1 1	3.843	18.2

***

4.
For MgTeH12O9, a crystal structure in Alexandria, relaxed with PBE gives the simulated powder X-ray diffraction pattern in this record (Cu Ka).
Neutral-atom scattering factors, no anomalous dispersion.

Atomic structure:
```
data_MgTeH12O9
_cell_length_a 9.0651
_cell_length_b 9.0651
_cell_length_c 8.9221
_cell_angle_alpha 90.00
_cell_angle_beta 90.00
_cell_angle_gamma 120.00
_symmetry_space_group_name_H-M 'R 3'
_symmetry_Int_Tables_number 146
_symmetry_space_group_name_Hall 'R 3'
loop_
_atom_site_label
_atom_site_type_symbol
_atom_site_fract_x
_atom_site_fract_y
_atom_site_fract_z
Mg1 Mg 0.0000 0.0000 0.0000
Te1 Te 0.0000 0.0000 0.4623
H1 H 0.0402 0.4693 0.8388
H2 H 0.0734 0.7156 0.5464
H3 H 0.1446 0.3669 0.8269
H4 H 0.1694 0.6851 0.4119
O1 O 0.0107 0.8168 0.8553
O2 O 0.1475 0.4751 0.8015
O3 O 0.1854 0.7229 0.2333
```

Most intense lines, 10 to 80 degrees two-theta, most intense first:
h k l	d (Å)	I/Imax
1 1 0	4.533	100.0
0 1 2	3.879	60.7
1 0 1	5.894	55.6
2 1 1	2.816	52.0
2 0 2	2.947	44.9
3 -2 2	2.471	37.0
4 -1 2	1.957	28.1
2 1 4	1.783	25.0
0 2 1	3.593	24.1
1 4 0	1.713	22.5